This entry pairs a crystal structure of Mg6AlVO8 with its computed powder XRD pattern. Radiation: copper Kα. Structure: a cell relaxed with PBE+U.
Intensities are scaled so that the largest is 100.

Lattice parameters (Å, degrees): 4.241 4.241 8.887 90.00 90.00 90.00
Space group P4/mmm (No. 123)
Inequivalent atoms, fractional coordinates:
Mg1 0.000 0.000 0.000 x1
Mg2 0.000 0.000 0.500 x1
Mg3 0.000 0.500 0.249 x4
Al1 0.500 0.500 0.500 x1
V1 0.500 0.500 0.000 x1
O1 0.000 0.000 0.253 x2
O2 0.000 0.500 0.000 x2
O3 0.000 0.500 0.500 x2
O4 0.500 0.500 0.296 x2

Principal peaks in the range 2θ from 15° to 90°, sorted by position:
- 29.1°, I = 4.6, (1 0 2)
- 36.1°, I = 27.7, (1 1 2)
- 37.0°, I = 5.0, (1 0 3)
- 40.6°, I = 52.5, (0 0 4)
- 42.6°, I = 100.0, (2 0 0)
- 60.3°, I = 55.7, (2 0 4)
- 61.9°, I = 28.1, (2 2 0)
- 71.0°, I = 7.9, (1 1 6)
- 73.8°, I = 10.1, (3 1 2)
- 76.7°, I = 24.7, (2 2 4)

This entry pairs a crystal structure of Mg6AlVO8 with its computed powder XRD pattern. Radiation: copper Kα. Structure: a cell relaxed with PBE+U.
Intensities are scaled so that the largest is 100.

Lattice parameters (Å, degrees): 4.331 4.331 8.576 90.00 90.00 90.00
Space group P4/mmm (No. 123)
Inequivalent atoms, fractional coordinates:
Mg1 0.000 0.000 0.000 x1
Mg2 0.000 0.500 0.248 x4
Mg3 0.500 0.500 0.000 x1
Al1 0.000 0.000 0.500 x1
V1 0.500 0.500 0.500 x1
O1 0.000 0.000 0.258 x2
O2 0.000 0.500 0.000 x2
O3 0.000 0.500 0.500 x2
O4 0.500 0.500 0.245 x2

Principal peaks in the range 2θ from 15° to 90°, sorted by position:
- 20.5°, I = 2.8, (1 0 0)
- 23.0°, I = 3.3, (1 0 1)
- 36.0°, I = 23.5, (1 1 2)
- 41.7°, I = 100.0, (2 0 0)
- 42.1°, I = 48.1, (0 0 4)
- 60.5°, I = 28.4, (2 2 0)
- 60.8°, I = 55.4, (2 0 4)
- 72.4°, I = 9.3, (3 1 2)
- 73.1°, I = 4.6, (1 1 6)
- 76.4°, I = 25.3, (2 2 4)

Please write out number 2 again, unchanged.
This entry pairs a crystal structure of Mg6AlVO8 with its computed powder XRD pattern. Radiation: copper Kα. Structure: a cell relaxed with PBE+U.
Intensities are scaled so that the largest is 100.

Lattice parameters (Å, degrees): 4.331 4.331 8.576 90.00 90.00 90.00
Space group P4/mmm (No. 123)
Inequivalent atoms, fractional coordinates:
Mg1 0.000 0.000 0.000 x1
Mg2 0.000 0.500 0.248 x4
Mg3 0.500 0.500 0.000 x1
Al1 0.000 0.000 0.500 x1
V1 0.500 0.500 0.500 x1
O1 0.000 0.000 0.258 x2
O2 0.000 0.500 0.000 x2
O3 0.000 0.500 0.500 x2
O4 0.500 0.500 0.245 x2

Principal peaks in the range 2θ from 15° to 90°, sorted by position:
- 20.5°, I = 2.8, (1 0 0)
- 23.0°, I = 3.3, (1 0 1)
- 36.0°, I = 23.5, (1 1 2)
- 41.7°, I = 100.0, (2 0 0)
- 42.1°, I = 48.1, (0 0 4)
- 60.5°, I = 28.4, (2 2 0)
- 60.8°, I = 55.4, (2 0 4)
- 72.4°, I = 9.3, (3 1 2)
- 73.1°, I = 4.6, (1 1 6)
- 76.4°, I = 25.3, (2 2 4)